Calculated X-ray diffraction stick pattern of Ba3TiAl10O20 for λ = 1.5418 Å (Cu Kα), from a crystal structure in Alexandria, relaxed with PBE.
Peak positions follow from Bragg's law for the DFT cell and can differ from measured ones.

```
Ba3TiAl10O20
1.0
7.886 -5.754 0.000
7.886 5.754 0.000
-1.549 0.000 4.791
Ba Ti Al O
3 1 10 20
direct
0.000 0.000 0.000
0.278 0.278 0.255
0.722 0.722 0.745
0.500 0.500 0.000
0.007 0.287 0.660
0.149 0.577 0.837
0.287 0.007 0.660
0.363 0.637 0.500
0.423 0.851 0.163
0.577 0.149 0.837
0.637 0.363 0.500
0.713 0.993 0.340
0.851 0.423 0.163
0.993 0.713 0.340
0.012 0.711 0.999
0.107 0.107 0.534
0.117 0.405 0.689
0.170 0.660 0.567
0.289 0.988 0.001
0.306 0.552 0.112
0.340 0.830 0.433
0.405 0.117 0.689
0.438 0.438 0.607
0.448 0.694 0.888
0.552 0.306 0.112
0.562 0.562 0.393
0.595 0.883 0.311
0.660 0.170 0.567
0.694 0.448 0.888
0.711 0.012 0.999
0.830 0.340 0.433
0.883 0.595 0.311
0.893 0.893 0.466
0.988 0.289 0.001
```

Main lines, most intense first (10° ≤ 2θ ≤ 90°):
2θ (°)  intensity
29.29  100.0
28.40  80.4
29.71  53.8
15.40  51.5
19.24  46.0
29.44  43.2
35.67  39.0
30.89  38.6
30.55  34.4
40.46  29.8